Diffraction record for Ti5Cu2Ni. The X-ray powder pattern is computed, not measured: it uses a cell relaxed with GGA-PBE and Cu Kα X-rays.

Crystal structure
```
Ti5Cu2Ni
1.0
-3.116 3.116 6.331
3.116 -3.116 6.331
3.116 3.116 -6.331
Ti Cu Ni
10 4 2
Cartesian
0.000 0.000 0.000
4.124 1.008 -2.037
1.008 2.108 -2.037
4.124 1.008 2.037
1.008 2.108 2.037
0.000 0.000 6.331
2.108 1.008 4.294
-1.008 2.108 4.294
2.108 1.008 8.368
-1.008 2.108 8.368
2.291 0.825 0.000
2.291 -0.825 6.331
0.825 3.941 0.000
0.825 2.291 6.331
0.000 0.000 3.166
0.000 0.000 9.497
```

The 10 most intense peaks (2θ from 5° to 70°), in order of rising 2θ:
2theta  I (rel.)
24.61  9
28.19  9
34.90  8
38.72  100
40.63  17
40.96  8
42.85  14
46.06  40
47.79  8
54.88  9